Record 1
For NaSr5Ca2, a DFT-relaxed cell (GGA-PBE, Alexandria) gives the simulated X-ray powder pattern in this record (Cu Kα, 1.54184 Å).

Principal peaks in the range 10 to 90 degrees two-theta, sorted by position:
| two_theta | I/Imax |
| --- | --- |
| 26.43 | 61 |
| 26.64 | 100 |
| 27.02 | 45 |
| 27.70 | 23 |
| 29.19 | 42 |
| 31.48 | 37 |
| 43.46 | 29 |
| 50.21 | 17 |

Atomic structure:
a b c (Å): 8.083 15.990 6.120
angles (deg): 90.00 90.00 90.00
Space group Pbam (No. 55)
Unique sites:
1 Na 0.000 0.000 0.000 [2 per cell]
2 Sr 0.000 0.500 0.000 [2 per cell]
3 Sr 0.071 0.241 0.000 [4 per cell]
4 Sr 0.193 0.888 0.500 [4 per cell]
5 Ca 0.185 0.635 0.500 [4 per cell]

---

Record 2
For NaSr7Ca3, a DFT-relaxed cell (GGA-PBE, Alexandria) gives the simulated X-ray powder pattern in this record (Cu Kα, 1.54184 Å).

Principal peaks in the range 10 to 90 degrees two-theta, sorted by position:
| two_theta | I/Imax |
| --- | --- |
| 22.10 | 49 |
| 24.22 | 45 |
| 26.26 | 97 |
| 26.76 | 55 |
| 27.67 | 66 |
| 28.26 | 100 |
| 28.39 | 47 |
| 29.10 | 44 |

Atomic structure:
a b c (Å): 4.062 29.110 18.987
angles (deg): 90.00 90.00 90.00
Space group Cmcm (No. 63)
Unique sites:
1 Na 0.000 0.090 0.250 [4 per cell]
2 Sr 0.000 0.290 0.076 [8 per cell]
3 Sr 0.000 0.340 0.617 [8 per cell]
4 Sr 0.000 0.389 0.250 [4 per cell]
5 Sr 0.000 0.485 0.615 [8 per cell]
6 Ca 0.000 0.092 0.542 [8 per cell]
7 Ca 0.000 0.238 0.250 [4 per cell]

---

Record 3
For NaSr6Ca6, a DFT-relaxed cell (GGA-PBE, Alexandria) gives the simulated X-ray powder pattern in this record (Cu Kα, 1.54184 Å).

Principal peaks in the range 10 to 90 degrees two-theta, sorted by position:
| two_theta | I/Imax |
| --- | --- |
| 23.89 | 86 |
| 27.22 | 100 |
| 29.39 | 71 |
| 30.60 | 85 |
| 45.58 | 41 |
| 46.45 | 43 |
| 48.91 | 35 |
| 58.82 | 33 |

Atomic structure:
a b c (Å): 7.4493 7.4493 13.7797
angles (deg): 90.00 90.00 120.00
Space group P6/mmm (No. 191)
Unique sites:
1 Na 0.0000 0.0000 0.0000 [1 per cell]
2 Sr 0.0000 0.0000 0.3552 [2 per cell]
3 Sr 0.3333 0.6667 0.0000 [2 per cell]
4 Sr 0.3333 0.6667 0.5000 [2 per cell]
5 Ca 0.0000 0.5000 0.2441 [6 per cell]